Ho3PuCo8: theoretical powder diffractogram (CuKα), based on a structure optimized by DFT (GGA-PBE).
Kinematic intensities with the Lorentz-polarization factor, no thermal factor.

Cell and atoms:
Cell lengths 8.622, 8.622, 8.622 Å; angles 33.53, 33.53, 33.53 degrees
Atoms (fractional coordinates):
Ho1 0.000 0.000 0.000
Ho2 0.126 0.126 0.126
Ho3 0.625 0.625 0.625
Pu1 0.502 0.502 0.502
Co1 0.063 0.063 0.559
Co2 0.063 0.559 0.063
Co3 0.069 0.563 0.563
Co4 0.313 0.313 0.313
Co5 0.559 0.063 0.063
Co6 0.563 0.069 0.563
Co7 0.563 0.563 0.069
Co8 0.814 0.814 0.814

Top 10 peaks for 15° ≤ 2θ ≤ 90°, in order of rising 2θ:
Position (°2θ), d (Å), intensity
21.88, 4.062, 22
36.11, 2.488, 72
42.62, 2.121, 100
44.61, 2.031, 12
57.06, 1.614, 6
64.93, 1.436, 26
69.41, 1.354, 30
76.61, 1.244, 22
80.81, 1.189, 5
87.73, 1.112, 12

Ho4Co2Rh: theoretical powder diffractogram (CuKα), based on a structure optimized by DFT (GGA-PBE).
Kinematic intensities with the Lorentz-polarization factor, no thermal factor.

Cell and atoms:
Cell lengths 6.747, 6.855, 7.929 Å; angles 108.52, 107.27, 105.61 degrees
Atoms (fractional coordinates):
Ho1 0.000 0.000 0.000
Ho2 0.024 0.170 0.488
Ho3 0.073 0.716 0.581
Ho4 0.167 0.536 0.980
Ho5 0.446 0.487 0.410
Ho6 0.552 0.055 0.098
Ho7 0.585 0.089 0.668
Ho8 0.725 0.590 0.099
Co1 0.228 0.899 0.300
Co2 0.473 0.678 0.792
Co3 0.564 0.843 0.325
Co4 0.992 0.386 0.231
Rh1 0.300 0.192 0.847
Rh2 0.780 0.538 0.737

Top 10 peaks for 15° ≤ 2θ ≤ 90°, in order of rising 2θ:
Position (°2θ), d (Å), intensity
30.06, 2.973, 100
30.65, 2.917, 59
33.42, 2.681, 88
33.87, 2.647, 62
34.19, 2.623, 49
34.33, 2.613, 66
35.51, 2.528, 100
35.82, 2.507, 57
37.99, 2.368, 70
43.52, 2.079, 50

Ho6CoRh5: theoretical powder diffractogram (CuKα), based on a structure optimized by DFT (GGA-PBE).
Kinematic intensities with the Lorentz-polarization factor, no thermal factor.

Cell and atoms:
Cell lengths 4.800, 6.804, 7.591 Å; angles 90.00, 108.29, 90.00 degrees
Atoms (fractional coordinates):
Ho1 0.000 0.247 0.000
Ho2 0.000 0.753 0.000
Ho3 0.335 0.249 0.669
Ho4 0.335 0.751 0.669
Ho5 0.665 0.249 0.331
Ho6 0.665 0.751 0.331
Co1 0.500 0.000 0.000
Rh1 0.167 0.000 0.333
Rh2 0.167 0.500 0.335
Rh3 0.500 0.500 0.000
Rh4 0.833 0.000 0.667
Rh5 0.833 0.500 0.665

Top 10 peaks for 15° ≤ 2θ ≤ 90°, in order of rising 2θ:
Position (°2θ), d (Å), intensity
26.23, 3.398, 7
37.43, 2.403, 100
46.28, 1.962, 2
53.91, 1.701, 12
54.08, 1.696, 6
60.93, 1.521, 2
67.49, 1.388, 23
67.59, 1.386, 12
79.78, 1.202, 5
79.89, 1.201, 5

Ho6Co2Rh: theoretical powder diffractogram (CuKα), based on a structure optimized by DFT (GGA-PBE).
Kinematic intensities with the Lorentz-polarization factor, no thermal factor.

Cell and atoms:
Cell lengths 8.121, 8.121, 8.121 Å; angles 110.66, 109.42, 108.34 degrees
Atoms (fractional coordinates):
Ho1 0.011 0.826 0.185
Ho2 0.254 0.567 0.313
Ho3 0.254 0.941 0.687
Ho4 0.265 0.322 0.588
Ho5 0.265 0.678 0.943
Ho6 0.359 0.174 0.185
Ho7 0.641 0.826 0.815
Ho8 0.735 0.322 0.057
Ho9 0.735 0.678 0.412
Ho10 0.746 0.059 0.313
Ho11 0.746 0.433 0.687
Ho12 0.989 0.174 0.815
Co1 0.000 0.165 0.165
Co2 0.000 0.835 0.835
Co3 0.385 0.385 0.000
Co4 0.615 0.615 0.000
Rh1 0.000 0.500 0.500
Rh2 0.500 0.000 0.500

Top 10 peaks for 15° ≤ 2θ ≤ 90°, in order of rising 2θ:
Position (°2θ), d (Å), intensity
26.70, 3.339, 24
29.81, 2.998, 27
30.17, 2.962, 37
30.53, 2.928, 32
33.10, 2.706, 100
35.54, 2.526, 36
36.04, 2.492, 63
36.15, 2.485, 55
38.37, 2.346, 29
61.02, 1.519, 26

Ho8Co2Ru: theoretical powder diffractogram (CuKα), based on a structure optimized by DFT (GGA-PBE).
Kinematic intensities with the Lorentz-polarization factor, no thermal factor.

Cell and atoms:
Cell lengths 7.393, 7.393, 5.784 Å; angles 100.04, 100.04, 113.89 degrees
Atoms (fractional coordinates):
Ho1 0.000 0.000 0.000
Ho2 0.026 0.284 0.596
Ho3 0.149 0.579 0.188
Ho4 0.284 0.026 0.596
Ho5 0.439 0.698 0.786
Ho6 0.579 0.149 0.188
Ho7 0.698 0.439 0.786
Ho8 0.722 0.722 0.370
Co1 0.052 0.666 0.683
Co2 0.666 0.052 0.683
Ru1 0.361 0.361 0.097

Top 10 peaks for 15° ≤ 2θ ≤ 90°, in order of rising 2θ:
Position (°2θ), d (Å), intensity
27.83, 3.206, 35
31.54, 2.837, 63
31.80, 2.814, 90
32.57, 2.749, 87
33.22, 2.697, 100
34.52, 2.599, 84
37.37, 2.407, 55
40.12, 2.248, 60
55.67, 1.651, 33
57.53, 1.602, 37

HoSc6Co2: theoretical powder diffractogram (CuKα), based on a structure optimized by DFT (GGA-PBE).
Kinematic intensities with the Lorentz-polarization factor, no thermal factor.

Cell and atoms:
Cell lengths 7.957, 7.957, 7.957 Å; angles 112.24, 108.72, 107.50 degrees
Atoms (fractional coordinates):
Ho1 0.000 0.000 0.000
Ho2 0.500 0.500 0.000
Sc1 0.013 0.240 0.773
Sc2 0.190 0.286 0.477
Sc3 0.190 0.714 0.904
Sc4 0.316 0.008 0.692
Sc5 0.316 0.624 0.308
Sc6 0.467 0.240 0.227
Sc7 0.533 0.760 0.773
Sc8 0.684 0.376 0.692
Sc9 0.684 0.992 0.308
Sc10 0.810 0.286 0.096
Sc11 0.810 0.714 0.523
Sc12 0.987 0.760 0.227
Co1 0.118 0.618 0.500
Co2 0.329 0.000 0.329
Co3 0.671 0.000 0.671
Co4 0.882 0.382 0.500

Top 10 peaks for 15° ≤ 2θ ≤ 90°, in order of rising 2θ:
Position (°2θ), d (Å), intensity
18.86, 4.705, 29
20.02, 4.436, 47
23.45, 3.793, 40
33.84, 2.649, 100
36.22, 2.480, 70
36.70, 2.449, 32
38.85, 2.318, 22
40.68, 2.218, 28
40.86, 2.209, 23
49.78, 1.832, 23

HoSc12Co5: theoretical powder diffractogram (CuKα), based on a structure optimized by DFT (GGA-PBE).
Kinematic intensities with the Lorentz-polarization factor, no thermal factor.

Cell and atoms:
Cell lengths 7.792, 7.792, 7.792 Å; angles 112.86, 112.22, 103.49 degrees
Atoms (fractional coordinates):
Ho1 0.000 0.000 0.000
Sc1 0.130 0.815 0.315
Sc2 0.226 0.321 0.546
Sc3 0.226 0.679 0.905
Sc4 0.281 0.091 0.810
Sc5 0.281 0.471 0.190
Sc6 0.500 0.185 0.315
Sc7 0.500 0.815 0.685
Sc8 0.719 0.529 0.810
Sc9 0.719 0.909 0.190
Sc10 0.774 0.321 0.095
Sc11 0.774 0.679 0.454
Sc12 0.870 0.185 0.685
Co1 0.118 0.618 0.500
Co2 0.500 0.153 0.653
Co3 0.500 0.500 0.000
Co4 0.500 0.847 0.347
Co5 0.882 0.382 0.500

Top 10 peaks for 15° ≤ 2θ ≤ 90°, in order of rising 2θ:
Position (°2θ), d (Å), intensity
18.39, 4.824, 30
20.44, 4.344, 49
24.84, 3.584, 43
32.60, 2.747, 27
34.72, 2.583, 100
36.29, 2.476, 79
37.90, 2.374, 97
38.60, 2.332, 42
41.58, 2.172, 36
65.72, 1.421, 28

Ho3CoSe2: theoretical powder diffractogram (CuKα), based on a structure optimized by DFT (GGA-PBE).
Kinematic intensities with the Lorentz-polarization factor, no thermal factor.

Cell and atoms:
Cell lengths 3.856, 5.727, 12.580 Å; angles 90.00, 90.00, 90.00 degrees
Atoms (fractional coordinates):
Ho1 0.000 0.000 0.000
Ho2 0.000 0.000 0.355
Ho3 0.000 0.000 0.645
Ho4 0.500 0.500 0.145
Ho5 0.500 0.500 0.500
Ho6 0.500 0.500 0.855
Co1 0.000 0.500 0.000
Co2 0.500 0.000 0.500
Se1 0.000 0.500 0.325
Se2 0.000 0.500 0.675
Se3 0.500 0.000 0.175
Se4 0.500 0.000 0.825

Top 10 peaks for 15° ≤ 2θ ≤ 90°, in order of rising 2θ:
Position (°2θ), d (Å), intensity
26.34, 3.383, 19
27.89, 3.199, 21
31.24, 2.863, 56
31.52, 2.838, 100
43.15, 2.097, 16
44.97, 2.016, 75
47.14, 1.928, 18
54.22, 1.692, 16
57.64, 1.599, 19
74.19, 1.278, 17

Ho4CoSe2: theoretical powder diffractogram (CuKα), based on a structure optimized by DFT (GGA-PBE).
Kinematic intensities with the Lorentz-polarization factor, no thermal factor.

Cell and atoms:
Cell lengths 6.852, 6.852, 13.926 Å; angles 90.00, 90.00, 148.12 degrees
Atoms (fractional coordinates):
Ho1 0.000 0.000 0.000
Ho2 0.000 0.000 0.500
Ho3 0.297 0.703 0.630
Ho4 0.297 0.703 0.870
Ho5 0.461 0.539 0.250
Ho6 0.539 0.461 0.750
Ho7 0.703 0.297 0.130
Ho8 0.703 0.297 0.370
Co1 0.106 0.894 0.250
Co2 0.894 0.106 0.750
Se1 0.358 0.642 0.067
Se2 0.358 0.642 0.433
Se3 0.642 0.358 0.567
Se4 0.642 0.358 0.933

Top 10 peaks for 15° ≤ 2θ ≤ 90°, in order of rising 2θ:
Position (°2θ), d (Å), intensity
27.81, 3.209, 56
29.01, 3.078, 100
31.31, 2.857, 51
31.97, 2.800, 53
33.90, 2.644, 57
40.88, 2.208, 57
45.70, 1.985, 23
46.44, 1.955, 33
48.37, 1.882, 26
57.39, 1.606, 30

HoCo2Si3: theoretical powder diffractogram (CuKα), based on a structure optimized by DFT (GGA-PBE).
Kinematic intensities with the Lorentz-polarization factor, no thermal factor.

Cell and atoms:
Cell lengths 5.925, 5.925, 5.016 Å; angles 90.00, 90.00, 75.72 degrees
Atoms (fractional coordinates):
Ho1 0.163 0.837 0.750
Ho2 0.837 0.163 0.250
Co1 0.299 0.299 0.000
Co2 0.299 0.299 0.500
Co3 0.701 0.701 0.000
Co4 0.701 0.701 0.500
Si1 0.027 0.598 0.250
Si2 0.402 0.973 0.250
Si3 0.437 0.563 0.250
Si4 0.563 0.437 0.750
Si5 0.598 0.027 0.750
Si6 0.973 0.402 0.750

Top 10 peaks for 15° ≤ 2θ ≤ 90°, in order of rising 2θ:
Position (°2θ), d (Å), intensity
23.55, 3.778, 50
30.36, 2.944, 24
31.18, 2.868, 40
36.07, 2.490, 100
38.36, 2.347, 32
38.49, 2.339, 17
40.82, 2.210, 34
43.85, 2.065, 23
60.89, 1.522, 19
64.51, 1.445, 18

Ho2Co5Si4: theoretical powder diffractogram (CuKα), based on a structure optimized by DFT (GGA-PBE).
Kinematic intensities with the Lorentz-polarization factor, no thermal factor.

Cell and atoms:
Cell lengths 8.003, 7.105, 5.256 Å; angles 79.16, 60.68, 40.17 degrees
Atoms (fractional coordinates):
Ho1 0.132 0.132 0.868
Ho2 0.868 0.868 0.132
Co1 0.000 0.000 0.500
Co2 0.250 0.250 0.250
Co3 0.500 0.500 0.000
Co4 0.500 0.500 0.500
Co5 0.750 0.750 0.750
Si1 0.215 0.522 0.478
Si2 0.478 0.785 0.215
Si3 0.522 0.215 0.785
Si4 0.785 0.478 0.522

Top 10 peaks for 15° ≤ 2θ ≤ 90°, in order of rising 2θ:
Position (°2θ), d (Å), intensity
20.54, 4.324, 28
28.15, 3.170, 80
33.60, 2.667, 77
34.81, 2.577, 35
39.38, 2.288, 100
39.72, 2.269, 34
39.97, 2.255, 72
43.83, 2.065, 64
60.62, 1.528, 22
70.40, 1.337, 26

HoCo3Si: theoretical powder diffractogram (CuKα), based on a structure optimized by DFT (GGA-PBE).
Kinematic intensities with the Lorentz-polarization factor, no thermal factor.

Cell and atoms:
Cell lengths 8.768, 8.768, 4.390 Å; angles 90.00, 90.00, 150.16 degrees
Atoms (fractional coordinates):
Ho1 0.102 0.898 0.750
Ho2 0.898 0.102 0.250
Co1 0.015 0.469 0.750
Co2 0.469 0.015 0.250
Co3 0.500 0.500 0.000
Co4 0.500 0.500 0.500
Co5 0.531 0.985 0.750
Co6 0.985 0.531 0.250
Si1 0.385 0.615 0.750
Si2 0.615 0.385 0.250

Top 10 peaks for 15° ≤ 2θ ≤ 90°, in order of rising 2θ:
Position (°2θ), d (Å), intensity
25.25, 3.527, 31
28.85, 3.095, 50
29.30, 3.048, 46
32.57, 2.749, 100
33.05, 2.710, 55
41.39, 2.181, 41
46.30, 1.961, 33
46.49, 1.953, 30
47.38, 1.919, 35
63.01, 1.475, 46

Sm12HoCo6: theoretical powder diffractogram (CuKα), based on a structure optimized by DFT (GGA-PBE).
Kinematic intensities with the Lorentz-polarization factor, no thermal factor.

Cell and atoms:
Cell lengths 8.629, 8.629, 8.629 Å; angles 109.47, 109.47, 109.47 degrees
Atoms (fractional coordinates):
Sm1 0.115 0.805 0.310
Sm2 0.195 0.310 0.504
Sm3 0.195 0.690 0.885
Sm4 0.310 0.115 0.805
Sm5 0.310 0.504 0.195
Sm6 0.496 0.805 0.690
Sm7 0.504 0.195 0.310
Sm8 0.690 0.496 0.805
Sm9 0.690 0.885 0.195
Sm10 0.805 0.310 0.115
Sm11 0.805 0.690 0.496
Sm12 0.885 0.195 0.690
Ho1 0.000 0.000 0.000
Co1 0.112 0.612 0.500
Co2 0.388 0.500 0.888
Co3 0.500 0.112 0.612
Co4 0.500 0.888 0.388
Co5 0.612 0.500 0.112
Co6 0.888 0.388 0.500

Top 10 peaks for 15° ≤ 2θ ≤ 90°, in order of rising 2θ:
Position (°2θ), d (Å), intensity
28.33, 3.151, 50
31.09, 2.876, 51
33.66, 2.663, 100
36.06, 2.491, 18
46.47, 1.954, 28
53.64, 1.709, 36
56.97, 1.616, 39
66.34, 1.409, 19
82.07, 1.174, 18
83.46, 1.158, 18